Entry 1:
The following is a theoretical powder diffractogram of Zr9VO20. It was derived from DFT lattice parameters and positions (PBE+U), using Cu Kα, 1.54184 Å.
No peak broadening, texture or thermal motion is included.

Unit cell a=6.475 b=7.359 c=8.111 alpha=77.07 beta=75.50 gamma=71.41
Space group P1 (No. 1)
Unique sites:
Zr 0.000 0.000 0.000
Zr 0.001 0.501 0.004
Zr 0.207 0.796 0.598
Zr 0.220 0.283 0.608
Zr 0.405 0.589 0.206
Zr 0.413 0.094 0.198
Zr 0.606 0.397 0.808
Zr 0.812 0.695 0.410
Zr 0.818 0.193 0.401
V 0.603 0.888 0.808
O 0.036 0.165 0.162
O 0.094 0.720 0.135
O 0.129 0.563 0.461
O 0.189 0.123 0.438
O 0.205 0.979 0.760
O 0.294 0.518 0.741
O 0.318 0.378 0.071
O 0.412 0.910 0.026
O 0.427 0.773 0.363
O 0.496 0.313 0.350
O 0.535 0.144 0.677
O 0.591 0.732 0.655
O 0.634 0.559 0.975
O 0.683 0.129 0.957
O 0.724 0.971 0.265
O 0.799 0.513 0.246
O 0.808 0.380 0.566
O 0.897 0.783 0.860
O 0.908 0.909 0.523
O 0.995 0.319 0.840

Main lines, sorted by position (2θ = 10–90°):
- 2θ = 29.70°, I 100, (2 0 1)
- 2θ = 29.83°, I 49, (1 2 2)
- 2θ = 29.99°, I 48, (0 2 -1)
- 2θ = 33.64°, I 19, (2 2 0)
- 2θ = 35.00°, I 25, (-1 2 1)
- 2θ = 49.54°, I 35, (1 4 1)
- 2θ = 50.25°, I 19, (0 2 4)
- 2θ = 50.41°, I 19, (2 -2 2)



Entry 2:
The following is a theoretical powder diffractogram of WO2. It was derived from DFT lattice parameters and positions (PBE+U), using Cu Kα, 1.54184 Å.
No peak broadening, texture or thermal motion is included.

Unit cell a=5.9894 b=5.9894 c=17.3289 alpha=90.00 beta=90.00 gamma=120.00
Space group R3m (No. 160, hexagonal axes)
Unique sites:
W 0.0000 0.0000 0.0000
W 0.0152 0.5076 0.8709
O 0.0000 0.0000 0.1158
O 0.0000 0.0000 0.6012
O 0.0107 0.5054 0.1509
O 0.1678 0.3356 0.9472

Main lines, sorted by position (2θ = 10–90°):
- 2θ = 15.34°, I 100, (0 0 3)
- 2θ = 19.95°, I 48, (0 1 2)
- 2θ = 26.81°, I 48, (1 0 4)
- 2θ = 31.00°, I 50, (0 0 6)
- 2θ = 33.71°, I 48, (1 1 3)
- 2θ = 34.98°, I 82, (0 2 1)
- 2θ = 36.15°, I 33, (2 0 2)
- 2θ = 51.00°, I 37, (0 2 7)